1.
Structure and calculated powder XRD pattern of KNbCu2S4 (a GGA-PBE-relaxed structure; CuKα).
Lines closer than 0.1° are merged.

Atomic structure:
```
data_KNbCu2S4
_space_group_name_H-M_alt 'A m a 2'
_space_group_IT_number 40
_cell_length_a 7.537
_cell_length_b 18.649
_cell_length_c 5.552
_cell_angle_alpha 90.00
_cell_angle_beta 90.00
_cell_angle_gamma 90.00
loop_
_space_group_symop_operation_xyz
'x,y,z'
'-x,-y,z'
'-x+1/2,y,z'
'x+1/2,-y,z'
'x,y+1/2,z+1/2'
'-x,-y+1/2,z+1/2'
'-x+1/2,y+1/2,z+1/2'
'x+1/2,-y+1/2,z+1/2'
loop_
_atom_site_label
_atom_site_type_symbol
_atom_site_fract_x
_atom_site_fract_y
_atom_site_fract_z
K1 K 0.250 0.180 0.000
Nb1 Nb 0.250 0.390 0.254
Cu1 Cu 0.000 0.000 0.735
Cu2 Cu 0.250 0.396 0.754
S1 S 0.002 0.395 0.007
S2 S 0.250 0.293 0.510
S3 S 0.250 0.494 0.489
```

Largest 6 diffraction maxima, most intense first, 2θ from 10° to 90°:
d/Å, intensity, index
5.862, 100, 1 2 0
2.015, 52, 2 4 2
3.075, 32, 2 1 1
2.509, 31, 1 2 2
5.321, 30, 0 1 1
1.815, 29, 2 6 2



2.
Structure and calculated powder XRD pattern of LaMg4 (a GGA-PBE-relaxed structure; CuKα).
Lines closer than 0.1° are merged.

Atomic structure:
```
data_LaMg4
_space_group_name_H-M_alt 'P -1'
_space_group_IT_number 2
_cell_length_a 3.478
_cell_length_b 5.226
_cell_length_c 7.923
_cell_angle_alpha 70.88
_cell_angle_beta 77.36
_cell_angle_gamma 89.88
loop_
_space_group_symop_operation_xyz
'x,y,z'
'-x,-y,-z'
loop_
_atom_site_label
_atom_site_type_symbol
_atom_site_fract_x
_atom_site_fract_y
_atom_site_fract_z
La1 La 0.000 0.000 0.000
Mg1 Mg 0.281 0.784 0.435
Mg2 Mg 0.395 0.397 0.208
```

Largest 6 diffraction maxima, most intense first, 2θ from 10° to 90°:
d/Å, intensity, index
2.691, 100, 1 -1 1
7.283, 71, 0 0 1
4.919, 65, 0 1 0
2.545, 59, 0 1 -2
2.827, 51, 1 0 -1
3.557, 43, 0 1 2